Computed X-ray powder pattern
Compound: Tb4PrSmEr2
Radiation: Cu Kα
Structure: the GGA-PBE geometry in Alexandria
No peak broadening, texture or thermal motion is included.

Top 6 peaks for 2θ = 5–70°, in order of rising 2θ:
(hkl)  d (Å)  Position (°2θ)  intensity
1 1 1  5.892  15.04  33.1
2 2 2  2.939  30.41  100.0
0 2 -2  2.932  30.48  31.9
2 2 -2  2.922  30.59  31.7
0 0 4  2.520  35.63  41.8
2 4 0  2.091  43.26  33.4

Crystal structure
a = 8.323 Å, b = 8.357 Å, c = 10.080 Å
α = 89.46°, β = 89.79°, γ = 60.27°
Space group P-1 (No. 2)
Symmetry-distinct sites (fractional):
Tb1 0.132 0.231 0.245 (multiplicity 2)
Tb2 0.138 0.630 0.246 (multiplicity 2)
Tb3 0.268 0.372 0.754 (multiplicity 2)
Tb4 0.333 0.834 0.250 (multiplicity 2)
Pr1 0.000 0.500 0.500 (multiplicity 1)
Pr2 0.500 0.000 0.500 (multiplicity 1)
Sm1 0.000 0.000 0.500 (multiplicity 1)
Sm2 0.000 0.500 0.000 (multiplicity 1)
Er1 0.000 0.000 0.000 (multiplicity 1)
Er2 0.500 0.000 0.000 (multiplicity 1)
Er3 0.500 0.500 0.000 (multiplicity 1)
Er4 0.500 0.500 0.500 (multiplicity 1)